Theoretical XRD peak list of Ac2PrWN4 for Cu Kα X-rays, from the PBE geometry in Alexandria.

Cell and atoms:
abc: 3.6458 12.5672 13.0024
angles: 90.00 90.00 90.00
Space group Cmcm (No. 63)
Inequivalent atoms, fractional coordinates:
Ac 0.0000 0.1332 0.0384 (multiplicity 8)
Pr 0.0000 0.3899 0.2500 (multiplicity 4)
W 0.0000 0.3332 0.7500 (multiplicity 4)
N 0.0000 0.0958 0.2500 (multiplicity 4)
N 0.0000 0.2237 0.6438 (multiplicity 8)
N 0.0000 0.5000 0.0000 (multiplicity 4)

Largest 6 diffraction maxima, most intense first, 10° ≤ 2θ ≤ 90°:
h k l  2theta  d/Å  intensity
1 3 2  35.44  2.533  100
1 1 2  28.96  3.083  97
0 4 0  28.41  3.142  53
0 0 4  27.44  3.251  49
0 6 3  48.20  1.888  27
0 2 5  37.43  2.403  26